1.
This entry pairs a crystal structure of Cu4Ag5 with its computed powder XRD pattern. Radiation: CuKα. Structure: a DFT-relaxed cell (GGA-PBE, OQMD).
Neutral-atom scattering factors, no anomalous dispersion.

Structure:
```
9
Lattice="-1.430 1.430 16.761 1.430 -1.430 16.761 1.430 1.430 -16.761" Properties=species:S:1:pos:R:3 pbc="T T T"
Cu 0.000 0.000 0.000
Cu 0.000 0.000 2.945
Cu 0.000 0.000 18.227
Cu 0.000 0.000 29.836
Ag 0.000 0.000 6.936
Ag 0.000 0.000 11.240
Ag 0.000 0.000 14.910
Ag 0.000 0.000 21.540
Ag 0.000 0.000 25.846
```

The 10 most intense peaks (5 to 70 degrees two-theta), in order of rising 2θ:
| 2θ (°) | I (rel.) |
| --- | --- |
| 34.09 | 3 |
| 36.61 | 27 |
| 39.74 | 100 |
| 43.18 | 11 |
| 43.40 | 10 |
| 44.83 | 48 |
| 48.91 | 4 |
| 64.00 | 12 |
| 65.27 | 15 |
| 68.50 | 6 |

---

2.
This entry pairs a crystal structure of Cu5Ag3 with its computed powder XRD pattern. Radiation: CuKα. Structure: a DFT-relaxed cell (GGA-PBE, OQMD).
Neutral-atom scattering factors, no anomalous dispersion.

Structure:
```
8
Lattice="2.753 0.000 0.000 0.000 2.753 0.000 0.000 0.000 14.853" Properties=species:S:1:pos:R:3 pbc="T T T"
Cu 0.000 0.000 0.000
Cu 0.000 0.000 3.216
Cu 0.000 0.000 10.958
Cu 1.376 1.376 1.609
Cu 1.376 1.376 4.826
Ag 0.000 0.000 6.772
Ag 1.376 1.376 9.023
Ag 1.376 1.376 12.901
```

The 10 most intense peaks (5 to 70 degrees two-theta), in order of rising 2θ:
| 2θ (°) | I (rel.) |
| --- | --- |
| 5.95 | 4 |
| 33.10 | 3 |
| 37.38 | 15 |
| 40.81 | 100 |
| 42.61 | 7 |
| 44.89 | 5 |
| 46.67 | 40 |
| 49.07 | 8 |
| 65.02 | 8 |
| 68.13 | 12 |

---

3.
This entry pairs a crystal structure of Cu5Ag3 with its computed powder XRD pattern. Radiation: CuKα. Structure: a DFT-relaxed cell (GGA-PBE, OQMD).
Neutral-atom scattering factors, no anomalous dispersion.

Structure:
```
16
Lattice="10.326 0.000 0.000 0.000 2.856 0.000 -4.478 0.000 7.695" Properties=species:S:1:pos:R:3 pbc="T T T"
Cu 0.000 0.000 0.000
Cu -3.138 1.428 6.021
Cu 1.955 1.428 0.806
Cu -1.270 0.000 6.889
Cu 3.823 0.000 1.674
Cu 5.163 1.428 0.000
Cu 2.025 0.000 6.021
Cu 7.118 0.000 0.806
Cu 3.893 1.428 6.889
Cu 8.986 1.428 1.674
Ag -2.239 0.000 3.848
Ag 0.707 0.000 2.674
Ag -0.021 1.428 5.021
Ag 2.924 1.428 3.848
Ag 5.870 1.428 2.674
Ag 5.142 0.000 5.021
```

The 10 most intense peaks (5 to 70 degrees two-theta), in order of rising 2θ:
| 2θ (°) | I (rel.) |
| --- | --- |
| 35.82 | 14 |
| 36.69 | 17 |
| 40.43 | 38 |
| 40.68 | 52 |
| 41.92 | 100 |
| 43.59 | 75 |
| 49.07 | 9 |
| 55.98 | 18 |
| 61.29 | 10 |
| 65.35 | 13 |

---

4.
This entry pairs a crystal structure of Cu5Ag3 with its computed powder XRD pattern. Radiation: CuKα. Structure: a DFT-relaxed cell (GGA-PBE, OQMD).
Neutral-atom scattering factors, no anomalous dispersion.

Structure:
```
16
Lattice="8.888 0.000 0.000 0.000 2.749 0.000 -1.718 0.000 9.278" Properties=species:S:1:pos:R:3 pbc="T T T"
Cu 0.000 0.000 0.000
Cu 1.976 1.375 1.066
Cu 1.575 0.000 3.460
Cu 1.150 1.375 5.817
Cu 0.749 0.000 8.211
Cu 4.444 1.375 0.000
Cu 6.420 0.000 1.066
Cu 6.019 1.375 3.460
Cu 5.594 0.000 5.817
Cu 5.193 1.375 8.211
Ag -0.859 0.000 4.639
Ag -1.291 1.375 7.068
Ag 4.016 0.000 2.209
Ag 3.585 1.375 4.639
Ag 3.153 0.000 7.068
Ag 8.460 1.375 2.209
```

The 10 most intense peaks (5 to 70 degrees two-theta), in order of rising 2θ:
| 2θ (°) | I (rel.) |
| --- | --- |
| 20.32 | 11 |
| 40.43 | 100 |
| 40.58 | 49 |
| 41.32 | 47 |
| 47.20 | 63 |
| 47.62 | 29 |
| 68.23 | 10 |
| 68.77 | 17 |
| 69.70 | 9 |
| 69.82 | 18 |

---

5.
This entry pairs a crystal structure of Cu3Ag5 with its computed powder XRD pattern. Radiation: CuKα. Structure: a DFT-relaxed cell (GGA-PBE, OQMD).
Neutral-atom scattering factors, no anomalous dispersion.

Structure:
```
8
Lattice="3.926 0.000 0.000 0.000 4.005 0.000 0.000 0.000 7.969" Properties=species:S:1:pos:R:3 pbc="T T T"
Cu 0.000 0.000 0.000
Cu 0.000 2.003 1.928
Cu 0.000 2.003 6.041
Ag 0.000 0.000 3.984
Ag 1.963 0.000 1.923
Ag 1.963 0.000 6.046
Ag 1.963 2.003 0.000
Ag 1.963 2.003 3.984
```

The 10 most intense peaks (5 to 70 degrees two-theta), in order of rising 2θ:
| 2θ (°) | I (rel.) |
| --- | --- |
| 22.65 | 3 |
| 31.68 | 3 |
| 33.90 | 1 |
| 39.29 | 100 |
| 45.28 | 16 |
| 45.53 | 16 |
| 46.25 | 15 |
| 66.17 | 10 |
| 66.73 | 10 |
| 66.92 | 9 |

---

6.
This entry pairs a crystal structure of Cu3Ag7 with its computed powder XRD pattern. Radiation: CuKα. Structure: a DFT-relaxed cell (GGA-PBE, OQMD).
Neutral-atom scattering factors, no anomalous dispersion.

Structure:
```
10
Lattice="1.445 0.834 22.533 -1.445 0.834 22.533 0.000 -1.669 22.533" Properties=species:S:1:pos:R:3 pbc="T T T"
Cu 0.000 0.000 0.000
Cu 0.000 0.000 6.752
Cu 0.000 0.000 40.739
Ag 0.000 0.000 13.664
Ag 0.000 0.000 20.365
Ag 0.000 0.000 27.148
Ag 0.000 0.000 33.804
Ag 0.000 0.000 47.229
Ag 0.000 0.000 53.938
Ag 0.000 0.000 61.139
```

The 10 most intense peaks (5 to 70 degrees two-theta), in order of rising 2θ:
| 2θ (°) | I (rel.) |
| --- | --- |
| 15.73 | 2 |
| 23.69 | 3 |
| 31.77 | 2 |
| 35.87 | 2 |
| 37.47 | 2 |
| 38.34 | 100 |
| 40.01 | 26 |
| 45.07 | 59 |
| 64.47 | 20 |
| 66.79 | 15 |

---

7.
This entry pairs a crystal structure of Cu4Ag5 with its computed powder XRD pattern. Radiation: CuKα. Structure: a DFT-relaxed cell (GGA-PBE, OQMD).
Neutral-atom scattering factors, no anomalous dispersion.

Structure:
```
9
Lattice="7.093 -1.415 0.000 7.093 1.415 0.000 -0.504 0.000 6.814" Properties=species:S:1:pos:R:3 pbc="T T T"
Cu 0.000 0.000 0.000
Cu 1.431 0.000 4.085
Cu 7.782 0.000 2.044
Cu 10.711 0.000 4.240
Ag 2.989 0.000 1.968
Ag 4.257 0.000 6.483
Ag 6.238 0.000 4.488
Ag 8.812 0.000 6.359
Ag 12.563 0.000 2.138
```

The 10 most intense peaks (5 to 70 degrees two-theta), in order of rising 2θ:
| 2θ (°) | I (rel.) |
| --- | --- |
| 38.00 | 8 |
| 39.51 | 51 |
| 39.68 | 46 |
| 39.91 | 100 |
| 45.04 | 72 |
| 48.55 | 22 |
| 65.15 | 10 |
| 66.04 | 11 |
| 68.25 | 16 |
| 68.50 | 12 |

---

8.
This entry pairs a crystal structure of Cu3Ag5 with its computed powder XRD pattern. Radiation: CuKα. Structure: a DFT-relaxed cell (GGA-PBE, OQMD).
Neutral-atom scattering factors, no anomalous dispersion.

Structure:
```
8
Lattice="2.851 0.000 0.000 0.000 2.851 0.000 0.000 0.000 15.344" Properties=species:S:1:pos:R:3 pbc="T T T"
Cu 0.000 0.000 0.000
Cu 0.000 0.000 3.696
Cu 1.426 1.426 5.186
Ag 0.000 0.000 7.036
Ag 0.000 0.000 11.346
Ag 1.426 1.426 1.843
Ag 1.426 1.426 9.196
Ag 1.426 1.426 13.505
```

The 10 most intense peaks (5 to 70 degrees two-theta), in order of rising 2θ:
| 2θ (°) | I (rel.) |
| --- | --- |
| 36.07 | 13 |
| 39.38 | 100 |
| 41.18 | 6 |
| 43.32 | 5 |
| 44.96 | 40 |
| 47.40 | 8 |
| 62.60 | 7 |
| 65.47 | 12 |
| 67.39 | 11 |
| 69.58 | 3 |

---

9.
This entry pairs a crystal structure of Cu3Ag2 with its computed powder XRD pattern. Radiation: CuKα. Structure: a DFT-relaxed cell (GGA-PBE, OQMD).
Neutral-atom scattering factors, no anomalous dispersion.

Structure:
```
10
Lattice="9.487 -1.389 0.000 9.487 1.389 0.000 -0.790 0.000 5.444" Properties=species:S:1:pos:R:3 pbc="T T T"
Cu 0.000 0.000 0.000
Cu -0.321 0.000 2.760
Cu 3.715 0.000 0.570
Cu 7.626 0.000 1.181
Cu 10.675 0.000 4.386
Cu 14.925 0.000 2.165
Ag 3.346 0.000 3.311
Ag 7.145 0.000 3.782
Ag 11.102 0.000 1.581
Ag 14.547 0.000 5.066
```

The 10 most intense peaks (5 to 70 degrees two-theta), in order of rising 2θ:
| 2θ (°) | I (rel.) |
| --- | --- |
| 17.62 | 4 |
| 23.17 | 5 |
| 36.95 | 4 |
| 40.39 | 100 |
| 40.66 | 96 |
| 46.46 | 65 |
| 48.47 | 28 |
| 67.43 | 10 |
| 68.19 | 9 |
| 69.41 | 34 |

---

10.
This entry pairs a crystal structure of Cu3Ag7 with its computed powder XRD pattern. Radiation: CuKα. Structure: a DFT-relaxed cell (GGA-PBE, OQMD).
Neutral-atom scattering factors, no anomalous dispersion.

Structure:
```
10
Lattice="2.918 0.000 0.000 0.000 2.918 0.000 0.000 0.000 18.943" Properties=species:S:1:pos:R:3 pbc="T T T"
Cu 0.000 0.000 0.000
Cu 1.459 1.459 1.410
Cu 1.459 1.459 17.533
Ag 0.000 0.000 3.201
Ag 0.000 0.000 7.384
Ag 0.000 0.000 11.559
Ag 0.000 0.000 15.741
Ag 1.459 1.459 5.296
Ag 1.459 1.459 9.471
Ag 1.459 1.459 13.647
```

The 10 most intense peaks (5 to 70 degrees two-theta), in order of rising 2θ:
| 2θ (°) | I (rel.) |
| --- | --- |
| 36.16 | 44 |
| 38.96 | 100 |
| 42.17 | 11 |
| 42.97 | 18 |
| 43.88 | 55 |
| 45.72 | 3 |
| 48.03 | 2 |
| 63.09 | 22 |
| 63.79 | 17 |
| 67.07 | 3 |

---

11.
This entry pairs a crystal structure of Cu3Ag2 with its computed powder XRD pattern. Radiation: CuKα. Structure: a DFT-relaxed cell (GGA-PBE, OQMD).
Neutral-atom scattering factors, no anomalous dispersion.

Structure:
```
25
Lattice="4.698 0.000 0.000 -0.059 8.561 0.000 -0.731 -4.276 8.795" Properties=species:S:1:pos:R:3 pbc="T T T"
Cu 0.000 0.000 0.000
Cu -0.160 6.819 2.024
Cu -0.018 5.230 4.006
Cu 0.701 4.325 1.734
Cu 0.792 -0.817 8.035
Cu 1.440 -0.134 3.394
Cu 1.449 -1.722 5.560
Cu 2.223 7.661 1.034
Cu 2.195 6.013 2.928
Cu 3.028 5.070 0.708
Cu 3.114 3.533 2.673
Cu 3.027 1.689 4.831
Cu 3.041 -0.096 7.028
Cu 3.918 2.732 0.285
Cu 3.994 -2.441 6.733
Ag -0.055 3.552 6.276
Ag -0.055 1.649 8.495
Ag 0.717 2.607 3.786
Ag 0.695 0.771 5.887
Ag 1.501 1.798 1.301
Ag 1.708 -3.331 7.705
Ag 2.372 4.451 5.067
Ag 2.323 2.519 7.356
Ag 3.802 0.829 2.377
Ag 3.731 -0.967 4.516
```

The 10 most intense peaks (5 to 70 degrees two-theta), in order of rising 2θ:
| 2θ (°) | I (rel.) |
| --- | --- |
| 37.14 | 4 |
| 40.68 | 100 |
| 40.78 | 34 |
| 47.16 | 21 |
| 47.29 | 22 |
| 47.61 | 19 |
| 69.01 | 12 |
| 69.14 | 6 |
| 69.26 | 6 |
| 69.42 | 11 |

---

12.
This entry pairs a crystal structure of Cu3Ag2 with its computed powder XRD pattern. Radiation: CuKα. Structure: a DFT-relaxed cell (GGA-PBE, OQMD).
Neutral-atom scattering factors, no anomalous dispersion.

Structure:
```
10
Lattice="11.025 -1.380 0.000 11.025 1.380 0.000 -0.401 0.000 4.712" Properties=species:S:1:pos:R:3 pbc="T T T"
Cu 0.803 0.000 1.591
Cu 3.071 0.000 0.225
Cu 9.932 0.000 0.651
Cu 11.715 0.000 4.061
Cu 18.576 0.000 4.487
Cu 20.844 0.000 3.121
Ag 5.293 0.000 3.555
Ag 7.731 0.000 2.122
Ag 13.917 0.000 2.590
Ag 16.354 0.000 1.157
```

The 10 most intense peaks (5 to 70 degrees two-theta), in order of rising 2θ:
| 2θ (°) | I (rel.) |
| --- | --- |
| 8.05 | 8 |
| 32.61 | 8 |
| 40.33 | 100 |
| 41.09 | 26 |
| 46.88 | 40 |
| 47.64 | 19 |
| 67.90 | 7 |
| 68.56 | 13 |
| 69.04 | 4 |
| 69.58 | 9 |

---

13.
This entry pairs a crystal structure of Cu3Ag2 with its computed powder XRD pattern. Radiation: CuKα. Structure: a DFT-relaxed cell (GGA-PBE, OQMD).
Neutral-atom scattering factors, no anomalous dispersion.

Structure:
```
10
Lattice="1.393 0.804 21.523 -1.393 0.804 21.523 0.000 -1.608 21.523" Properties=species:S:1:pos:R:3 pbc="T T T"
Cu 0.000 0.000 0.000
Cu 0.000 0.000 6.338
Cu 0.000 0.000 12.714
Cu 0.000 0.000 25.930
Cu 0.000 0.000 51.312
Cu 0.000 0.000 57.675
Ag 0.000 0.000 19.322
Ag 0.000 0.000 32.011
Ag 0.000 0.000 38.358
Ag 0.000 0.000 45.239
```

The 10 most intense peaks (5 to 70 degrees two-theta), in order of rising 2θ:
| 2θ (°) | I (rel.) |
| --- | --- |
| 12.34 | 4 |
| 29.04 | 3 |
| 37.62 | 5 |
| 39.90 | 100 |
| 40.43 | 3 |
| 41.98 | 22 |
| 44.49 | 4 |
| 47.03 | 56 |
| 66.08 | 3 |
| 67.22 | 20 |

---

14.
This entry pairs a crystal structure of Cu3Ag2 with its computed powder XRD pattern. Radiation: CuKα. Structure: a DFT-relaxed cell (GGA-PBE, OQMD).
Neutral-atom scattering factors, no anomalous dispersion.

Structure:
```
10
Lattice="1.946 -9.452 0.000 1.946 9.452 0.000 0.000 0.000 3.889" Properties=species:S:1:pos:R:3 pbc="T T T"
Cu 1.946 8.651 2.917
Cu 1.946 6.889 0.972
Cu 1.946 0.804 2.917
Cu 1.946 -0.804 0.972
Cu 1.946 -6.889 2.917
Cu 1.946 -8.651 0.972
Ag 1.946 4.725 2.917
Ag 1.946 2.621 0.972
Ag 1.946 -2.621 2.917
Ag 1.946 -4.725 0.972
```

The 10 most intense peaks (5 to 70 degrees two-theta), in order of rising 2θ:
| 2θ (°) | I (rel.) |
| --- | --- |
| 9.36 | 2 |
| 24.76 | 2 |
| 35.61 | 10 |
| 38.08 | 6 |
| 40.56 | 100 |
| 46.70 | 36 |
| 48.13 | 11 |
| 61.77 | 5 |
| 68.19 | 11 |
| 69.32 | 14 |